Theoretical X-ray powder pattern
Compound: Sr4Si23
Radiation: Cu Kα
Structure: the PBE geometry in Alexandria
Lines closer than 0.1° are merged.

```
data_Sr4Si23
_chemical_formula_sum 'Sr8 Si46'
_cell_length_a 10.296
_cell_length_b 10.296
_cell_length_c 10.296
_cell_angle_alpha 90.00
_cell_angle_beta 90.00
_cell_angle_gamma 90.00
_symmetry_space_group_name_H-M 'P m -3 n'
_symmetry_Int_Tables_number 223
_symmetry_space_group_name_Hall '-P 4n 2 3'
loop_
_atom_site_label
_atom_site_type_symbol
_atom_site_fract_x
_atom_site_fract_y
_atom_site_fract_z
Sr1 Sr 0.000 0.000 0.000
Sr2 Sr 0.000 0.250 0.500
Si1 Si 0.000 0.307 0.119
Si2 Si 0.000 0.500 0.250
Si3 Si 0.185 0.185 0.185
```

Top 10 peaks for 2θ = 5–70°, low angle first:
- 21.14°, 4.203 Å, rel. 9, (2 1 1)
- 30.07°, 2.972 Å, rel. 27, (2 2 2)
- 31.33°, 2.856 Å, rel. 44, (3 2 0)
- 32.54°, 2.752 Å, rel. 100, (3 2 1)
- 34.86°, 2.574 Å, rel. 21, (4 0 0)
- 39.13°, 2.302 Å, rel. 9, (4 2 0)
- 51.78°, 1.766 Å, rel. 19, (5 3 0)
- 53.39°, 1.716 Å, rel. 18, (6 0 0)
- 54.98°, 1.670 Å, rel. 41, (5 3 2)
- 66.77°, 1.401 Å, rel. 11, (6 3 3)

---

Theoretical X-ray powder pattern
Compound: Sr3Si5
Radiation: Cu Kα
Structure: the PBE geometry in Alexandria
Lines closer than 0.1° are merged.

```
data_Sr3Si5
_chemical_formula_sum 'Sr24 Si40'
_cell_length_a 6.154
_cell_length_b 18.678
_cell_length_c 14.270
_cell_angle_alpha 90.00
_cell_angle_beta 90.00
_cell_angle_gamma 90.00
_symmetry_space_group_name_H-M 'F d d 2'
_symmetry_Int_Tables_number 43
_symmetry_space_group_name_Hall 'F 2 -2d'
loop_
_atom_site_label
_atom_site_type_symbol
_atom_site_fract_x
_atom_site_fract_y
_atom_site_fract_z
Sr1 Sr 0.000 0.000 0.000
Sr2 Sr 0.029 0.330 0.995
Si1 Si 0.000 0.000 0.421
Si2 Si 0.028 0.341 0.417
Si3 Si 0.029 0.330 0.583
```

Top 10 peaks for 2θ = 5–70°, low angle first:
- 21.23°, 4.184 Å, rel. 40, (1 3 1)
- 24.96°, 3.567 Å, rel. 31, (0 0 4)
- 27.70°, 3.221 Å, rel. 82, (1 3 3)
- 31.35°, 2.853 Å, rel. 100, (0 6 2)
- 31.67°, 2.825 Å, rel. 90, (2 0 2)
- 37.63°, 2.391 Å, rel. 76, (1 3 5)
- 41.25°, 2.188 Å, rel. 60, (2 6 0)
- 48.82°, 1.865 Å, rel. 19, (2 6 4)
- 49.31°, 1.848 Å, rel. 35, (1 3 7)
- 56.86°, 1.619 Å, rel. 22, (1 9 5)

---

Theoretical X-ray powder pattern
Compound: Sr3Si23
Radiation: Cu Kα
Structure: the PBE geometry in Alexandria
Lines closer than 0.1° are merged.

```
data_Sr3Si23
_chemical_formula_sum 'Sr6 Si46'
_cell_length_a 10.247
_cell_length_b 10.247
_cell_length_c 10.247
_cell_angle_alpha 90.00
_cell_angle_beta 90.00
_cell_angle_gamma 90.00
_symmetry_space_group_name_H-M 'P m -3 n'
_symmetry_Int_Tables_number 223
_symmetry_space_group_name_Hall '-P 4n 2 3'
loop_
_atom_site_label
_atom_site_type_symbol
_atom_site_fract_x
_atom_site_fract_y
_atom_site_fract_z
Sr1 Sr 0.000 0.250 0.500
Si1 Si 0.000 0.306 0.119
Si2 Si 0.000 0.500 0.250
Si3 Si 0.184 0.184 0.184
```

Top 10 peaks for 2θ = 5–70°, low angle first:
- 12.22°, 7.245 Å, rel. 20, (1 1 0)
- 19.37°, 4.582 Å, rel. 17, (2 1 0)
- 27.53°, 3.240 Å, rel. 23, (3 1 0)
- 30.21°, 2.958 Å, rel. 82, (2 2 2)
- 31.48°, 2.842 Å, rel. 86, (3 2 0)
- 32.70°, 2.738 Å, rel. 100, (3 2 1)
- 35.03°, 2.562 Å, rel. 26, (4 0 0)
- 52.04°, 1.757 Å, rel. 65, (5 3 0)
- 53.67°, 1.708 Å, rel. 20, (6 0 0)
- 55.26°, 1.662 Å, rel. 45, (5 3 2)

---

Theoretical X-ray powder pattern
Compound: Sr5Si3
Radiation: Cu Kα
Structure: the PBE geometry in Alexandria
Lines closer than 0.1° are merged.

```
data_Sr5Si3
_chemical_formula_sum 'Sr20 Si12'
_cell_length_a 8.061
_cell_length_b 8.061
_cell_length_c 15.886
_cell_angle_alpha 90.00
_cell_angle_beta 90.00
_cell_angle_gamma 90.00
_symmetry_space_group_name_H-M 'I 4/m c m'
_symmetry_Int_Tables_number 140
_symmetry_space_group_name_Hall '-I 4 2c'
loop_
_atom_site_label
_atom_site_type_symbol
_atom_site_fract_x
_atom_site_fract_y
_atom_site_fract_z
Sr1 Sr 0.000 0.000 0.000
Sr2 Sr 0.180 0.320 0.141
Si1 Si 0.000 0.000 0.250
Si2 Si 0.108 0.392 0.500
```

Top 10 peaks for 2θ = 5–70°, low angle first:
- 25.33°, 3.516 Å, rel. 34, (2 1 1)
- 27.37°, 3.259 Å, rel. 19, (1 1 4)
- 29.99°, 2.980 Å, rel. 100, (2 1 3)
- 31.39°, 2.850 Å, rel. 23, (2 2 0)
- 31.63°, 2.829 Å, rel. 74, (2 0 4)
- 35.21°, 2.549 Å, rel. 40, (3 1 0)
- 46.82°, 1.940 Å, rel. 24, (4 1 1)
- 49.69°, 1.835 Å, rel. 36, (4 1 3)
- 53.46°, 1.714 Å, rel. 25, (3 3 4)
- 62.73°, 1.481 Å, rel. 19, (4 1 7)

---

Theoretical X-ray powder pattern
Compound: SrSiTe2
Radiation: Cu Kα
Structure: the PBE geometry in Alexandria
Lines closer than 0.1° are merged.

```
data_SrSiTe2
_chemical_formula_sum 'Sr1 Si1 Te2'
_cell_length_a 4.790
_cell_length_b 4.399
_cell_length_c 6.609
_cell_angle_alpha 90.00
_cell_angle_beta 91.86
_cell_angle_gamma 90.00
_symmetry_space_group_name_H-M 'P 1 m 1'
_symmetry_Int_Tables_number 6
loop_
_symmetry_equiv_pos_as_xyz
'x,y,z'
'x,-y,z'
loop_
_atom_site_label
_atom_site_type_symbol
_atom_site_fract_x
_atom_site_fract_y
_atom_site_fract_z
Sr1 Sr 0.000 0.000 0.000
Si1 Si 0.569 0.500 0.451
Te1 Te 0.506 0.500 0.042
Te2 Te 0.933 0.000 0.494
```

Top 10 peaks for 2θ = 5–70°, low angle first:
- 22.58°, 3.937 Å, rel. 16, (1 0 -1)
- 24.31°, 3.662 Å, rel. 19, (0 1 1)
- 26.99°, 3.303 Å, rel. 50, (0 0 2)
- 27.54°, 3.239 Å, rel. 100, (1 1 0)
- 37.58°, 2.394 Å, rel. 18, (2 0 0)
- 38.50°, 2.338 Å, rel. 37, (1 1 -2)
- 39.39°, 2.288 Å, rel. 33, (1 1 2)
- 41.03°, 2.200 Å, rel. 20, (0 2 0)
- 46.10°, 1.969 Å, rel. 13, (2 0 -2)
- 49.81°, 1.831 Å, rel. 18, (0 2 2)

---

Theoretical X-ray powder pattern
Compound: Sr2SiTe5
Radiation: Cu Kα
Structure: the PBE geometry in Alexandria
Lines closer than 0.1° are merged.

```
data_Sr2SiTe5
_chemical_formula_sum 'Sr4 Si2 Te10'
_cell_length_a 11.572
_cell_length_b 8.006
_cell_length_c 8.107
_cell_angle_alpha 90.00
_cell_angle_beta 132.70
_cell_angle_gamma 90.00
_symmetry_space_group_name_H-M 'C 1 m 1'
_symmetry_Int_Tables_number 8
loop_
_symmetry_equiv_pos_as_xyz
'x,y,z'
'x,-y,z'
'x+1/2,y+1/2,z'
'x+1/2,-y+1/2,z'
loop_
_atom_site_label
_atom_site_type_symbol
_atom_site_fract_x
_atom_site_fract_y
_atom_site_fract_z
Sr1 Sr 0.000 0.000 0.000
Sr2 Sr 0.000 0.500 0.492
Si1 Si 0.176 0.000 0.718
Te1 Te 0.245 0.242 0.984
Te2 Te 0.260 0.224 0.527
Te3 Te 0.355 0.500 0.401
```

Top 10 peaks for 2θ = 5–70°, low angle first:
- 20.89°, 4.252 Å, rel. 33, (2 0 0)
- 26.43°, 3.373 Å, rel. 19, (3 1 -1)
- 29.99°, 2.979 Å, rel. 42, (0 0 2)
- 30.67°, 2.915 Å, rel. 65, (2 2 0)
- 30.95°, 2.890 Å, rel. 28, (4 0 -2)
- 31.41°, 2.848 Å, rel. 100, (2 2 -2)
- 44.73°, 2.026 Å, rel. 16, (4 0 -4)
- 45.31°, 2.001 Å, rel. 17, (0 4 0)
- 54.63°, 1.680 Å, rel. 15, (2 2 -4)
- 55.84°, 1.646 Å, rel. 17, (6 2 -4)

---

Theoretical X-ray powder pattern
Compound: Sr8Tl2Si
Radiation: Cu Kα
Structure: the PBE geometry in Alexandria
Lines closer than 0.1° are merged.

```
data_Sr8Tl2Si
_chemical_formula_sum 'Sr16 Tl4 Si2'
_cell_length_a 20.207
_cell_length_b 5.775
_cell_length_c 7.903
_cell_angle_alpha 90.00
_cell_angle_beta 108.70
_cell_angle_gamma 90.00
_symmetry_space_group_name_H-M 'C 1 2/m 1'
_symmetry_Int_Tables_number 12
loop_
_symmetry_equiv_pos_as_xyz
'x,y,z'
'-x,-y,-z'
'-x,y,-z'
'x,-y,z'
'x+1/2,y+1/2,z'
'-x+1/2,-y+1/2,-z'
'-x+1/2,y+1/2,-z'
'x+1/2,-y+1/2,z'
loop_
_atom_site_label
_atom_site_type_symbol
_atom_site_fract_x
_atom_site_fract_y
_atom_site_fract_z
Sr1 Sr 0.026 0.000 0.296
Sr2 Sr 0.093 0.500 0.926
Sr3 Sr 0.158 0.500 0.458
Sr4 Sr 0.208 0.000 0.806
Tl1 Tl 0.180 0.000 0.204
Si1 Si 0.000 0.500 0.500
```

Top 10 peaks for 2θ = 5–70°, low angle first:
- 9.24°, 9.570 Å, rel. 43, (2 0 0)
- 26.11°, 3.413 Å, rel. 44, (3 1 1)
- 27.97°, 3.191 Å, rel. 100, (5 1 0)
- 28.09°, 3.177 Å, rel. 50, (3 1 -2)
- 30.05°, 2.974 Å, rel. 75, (1 1 2)
- 30.97°, 2.887 Å, rel. 80, (0 2 0)
- 31.61°, 2.830 Å, rel. 66, (5 1 -2)
- 34.78°, 2.580 Å, rel. 29, (7 1 -1)
- 37.60°, 2.392 Å, rel. 36, (3 1 -3)
- 40.20°, 2.243 Å, rel. 30, (2 0 3)

---

Theoretical X-ray powder pattern
Compound: SrTm2Si6
Radiation: Cu Kα
Structure: the PBE geometry in Alexandria
Lines closer than 0.1° are merged.

```
data_SrTm2Si6
_chemical_formula_sum 'Sr2 Tm4 Si12'
_cell_length_a 3.932
_cell_length_b 8.560
_cell_length_c 11.662
_cell_angle_alpha 90.00
_cell_angle_beta 90.00
_cell_angle_gamma 90.00
_symmetry_space_group_name_H-M 'I m m 2'
_symmetry_Int_Tables_number 44
loop_
_symmetry_equiv_pos_as_xyz
'x,y,z'
'-x,-y,z'
'-x,y,z'
'x,-y,z'
'x+1/2,y+1/2,z+1/2'
'-x+1/2,-y+1/2,z+1/2'
'-x+1/2,y+1/2,z+1/2'
'x+1/2,-y+1/2,z+1/2'
loop_
_atom_site_label
_atom_site_type_symbol
_atom_site_fract_x
_atom_site_fract_y
_atom_site_fract_z
Sr1 Sr 0.000 0.000 0.000
Tm1 Tm 0.000 0.500 0.148
Tm2 Tm 0.000 0.500 0.851
Si1 Si 0.000 0.154 0.499
Si2 Si 0.000 0.260 0.685
Si3 Si 0.000 0.261 0.313
```

Top 10 peaks for 2θ = 5–70°, low angle first:
- 12.83°, 6.901 Å, rel. 70, (0 1 1)
- 20.75°, 4.280 Å, rel. 45, (0 2 0)
- 24.92°, 3.573 Å, rel. 36, (1 1 0)
- 25.16°, 3.539 Å, rel. 96, (0 1 3)
- 29.32°, 3.047 Å, rel. 50, (1 1 2)
- 31.84°, 2.810 Å, rel. 100, (1 2 1)
- 38.78°, 2.322 Å, rel. 46, (1 2 3)
- 39.16°, 2.300 Å, rel. 53, (0 3 3)
- 39.91°, 2.259 Å, rel. 69, (1 1 4)
- 62.11°, 1.494 Å, rel. 27, (2 3 3)

---

Theoretical X-ray powder pattern
Compound: SrV2Si
Radiation: Cu Kα
Structure: the PBE geometry in Alexandria
Lines closer than 0.1° are merged.

```
data_SrV2Si
_chemical_formula_sum 'Sr4 V8 Si4'
_cell_length_a 4.441
_cell_length_b 4.441
_cell_length_c 18.404
_cell_angle_alpha 90.00
_cell_angle_beta 90.00
_cell_angle_gamma 90.00
_symmetry_space_group_name_H-M 'I 41/a m d'
_symmetry_Int_Tables_number 141
loop_
_symmetry_equiv_pos_as_xyz
'x,y,z'
'-x,-y,-z'
'-y+1/4,x+3/4,z+1/4'
'y+1/4,-x+3/4,-z+1/4'
'-x+1/2,-y,z+1/2'
'x+1/2,y,-z+1/2'
'y+1/4,-x+1/4,z+3/4'
'-y+1/4,x+1/4,-z+3/4'
'x,-y,-z'
'-x,y,z'
'-y+1/4,-x+1/4,-z+3/4'
'y+1/4,x+1/4,z+3/4'
'-x+1/2,y,-z+1/2'
'x+1/2,-y,z+1/2'
'y+1/4,x+3/4,-z+1/4'
'-y+1/4,-x+3/4,z+1/4'
'x+1/2,y+1/2,z+1/2'
'-x+1/2,-y+1/2,-z+1/2'
'-y+3/4,x+1/4,z+3/4'
'y+3/4,-x+1/4,-z+3/4'
'-x,-y+1/2,z'
'x,y+1/2,-z'
'y+3/4,-x+3/4,z+1/4'
'-y+3/4,x+3/4,-z+1/4'
'x+1/2,-y+1/2,-z+1/2'
'-x+1/2,y+1/2,z+1/2'
'-y+3/4,-x+3/4,-z+1/4'
'y+3/4,x+3/4,z+1/4'
'-x,y+1/2,-z'
'x,-y+1/2,z'
'y+3/4,x+1/4,-z+3/4'
'-y+3/4,-x+1/4,z+3/4'
loop_
_atom_site_label
_atom_site_type_symbol
_atom_site_fract_x
_atom_site_fract_y
_atom_site_fract_z
Sr1 Sr 0.000 0.250 0.375
V1 V 0.000 0.000 0.000
Si1 Si 0.000 0.250 0.875
```

Top 10 peaks for 2θ = 5–70°, low angle first:
- 24.75°, 3.597 Å, rel. 100, (1 0 3)
- 30.07°, 2.972 Å, rel. 98, (1 1 2)
- 31.57°, 2.834 Å, rel. 53, (1 0 5)
- 39.16°, 2.301 Å, rel. 40, (0 0 8)
- 40.63°, 2.220 Å, rel. 21, (2 0 0)
- 41.14°, 2.194 Å, rel. 41, (1 1 6)
- 41.85°, 2.158 Å, rel. 28, (2 0 2)
- 45.35°, 2.000 Å, rel. 30, (2 0 4)
- 45.96°, 1.975 Å, rel. 36, (2 1 1)
- 62.50°, 1.486 Å, rel. 38, (2 2 4)

---

Theoretical X-ray powder pattern
Compound: SrYSi4
Radiation: Cu Kα
Structure: the PBE geometry in Alexandria
Lines closer than 0.1° are merged.

```
data_SrYSi4
_chemical_formula_sum 'Sr4 Y4 Si16'
_cell_length_a 7.659
_cell_length_b 16.076
_cell_length_c 4.327
_cell_angle_alpha 90.00
_cell_angle_beta 90.00
_cell_angle_gamma 90.00
_symmetry_space_group_name_H-M 'P b a m'
_symmetry_Int_Tables_number 55
loop_
_symmetry_equiv_pos_as_xyz
'x,y,z'
'-x,-y,-z'
'-x,-y,z'
'x,y,-z'
'x+1/2,-y+1/2,-z'
'-x+1/2,y+1/2,z'
'-x+1/2,y+1/2,-z'
'x+1/2,-y+1/2,z'
loop_
_atom_site_label
_atom_site_type_symbol
_atom_site_fract_x
_atom_site_fract_y
_atom_site_fract_z
Sr1 Sr 0.127 0.158 0.000
Y1 Y 0.132 0.412 0.000
Si1 Si 0.027 0.691 0.500
Si2 Si 0.117 0.950 0.500
Si3 Si 0.131 0.543 0.500
Si4 Si 0.216 0.805 0.500
```

Top 10 peaks for 2θ = 5–70°, low angle first:
- 22.12°, 4.019 Å, rel. 17, (0 4 0)
- 23.89°, 3.725 Å, rel. 29, (2 1 0)
- 25.02°, 3.559 Å, rel. 21, (1 4 0)
- 28.97°, 3.082 Å, rel. 29, (1 3 1)
- 30.35°, 2.945 Å, rel. 47, (0 4 1)
- 31.69°, 2.823 Å, rel. 100, (2 1 1)
- 32.58°, 2.749 Å, rel. 57, (1 4 1)
- 35.50°, 2.528 Å, rel. 57, (2 3 1)
- 36.75°, 2.446 Å, rel. 25, (1 5 1)
- 41.75°, 2.164 Å, rel. 39, (0 0 2)

---

Theoretical X-ray powder pattern
Compound: Sr2Zn5Si3
Radiation: Cu Kα
Structure: the PBE geometry in Alexandria
Lines closer than 0.1° are merged.

```
data_Sr2Zn5Si3
_chemical_formula_sum 'Sr2 Zn5 Si3'
_cell_length_a 4.287
_cell_length_b 4.287
_cell_length_c 10.652
_cell_angle_alpha 90.00
_cell_angle_beta 90.00
_cell_angle_gamma 90.00
_symmetry_space_group_name_H-M 'P 4 m m'
_symmetry_Int_Tables_number 99
loop_
_symmetry_equiv_pos_as_xyz
'x,y,z'
'-y,x,z'
'-x,-y,z'
'y,-x,z'
'-x,y,z'
'y,x,z'
'x,-y,z'
'-y,-x,z'
loop_
_atom_site_label
_atom_site_type_symbol
_atom_site_fract_x
_atom_site_fract_y
_atom_site_fract_z
Sr1 Sr 0.000 0.000 0.000
Sr2 Sr 0.500 0.500 0.489
Zn1 Zn 0.000 0.000 0.609
Zn2 Zn 0.000 0.500 0.242
Zn3 Zn 0.000 0.500 0.750
Si1 Si 0.000 0.000 0.375
Si2 Si 0.500 0.500 0.110
Si3 Si 0.500 0.500 0.884
```

Top 10 peaks for 2θ = 5–70°, low angle first:
- 32.75°, 2.734 Å, rel. 34, (1 0 3)
- 33.66°, 2.663 Å, rel. 10, (0 0 4)
- 34.03°, 2.634 Å, rel. 100, (1 1 2)
- 42.16°, 2.143 Å, rel. 45, (2 0 0)
- 45.33°, 2.001 Å, rel. 13, (1 1 4)
- 47.67°, 1.908 Å, rel. 16, (1 0 5)
- 54.39°, 1.687 Å, rel. 15, (2 1 3)
- 60.43°, 1.532 Å, rel. 12, (1 1 6)
- 61.15°, 1.516 Å, rel. 14, (2 2 0)
- 65.50°, 1.425 Å, rel. 12, (2 1 5)